[1]
Ho2H4CO7: computed XRD peak list (a wavelength of 1.5418 Å), based on a structure optimized by DFT (PBE).
Lines closer than 0.1° are merged.

Atomic structure:
Cell lengths 6.208, 5.936, 15.189 Å; angles 90.00, 96.84, 90.00 degrees
Space group P2_1/c (No. 14)
Symmetry-distinct sites (fractional):
Ho 0.081 0.238 0.318 [4 per cell]
Ho 0.092 0.246 0.065 [4 per cell]
H 0.275 0.669 0.078 [4 per cell]
H 0.319 0.530 0.445 [4 per cell]
H 0.328 0.509 0.697 [4 per cell]
H 0.331 0.545 0.211 [4 per cell]
C 0.402 0.580 0.883 [4 per cell]
O 0.122 0.632 0.058 [4 per cell]
O 0.174 0.024 0.190 [4 per cell]
O 0.179 0.047 0.946 [4 per cell]
O 0.194 0.616 0.873 [4 per cell]
O 0.195 0.503 0.233 [4 per cell]
O 0.462 0.117 0.356 [4 per cell]
O 0.467 0.232 0.584 [4 per cell]

Top 10 peaks for 10° ≤ 2θ ≤ 90°, by angle:
- 2θ 14.37, I = 100, hkl 1 0 0
- 2θ 20.78, I = 28, hkl 1 1 0
- 2θ 28.04, I = 59, hkl 0 1 4
- 2θ 30.11, I = 18, hkl 0 2 0
- 2θ 30.28, I = 29, hkl 1 1 -4
- 2θ 32.74, I = 27, hkl 2 1 0
- 2θ 32.95, I = 21, hkl 1 1 4
- 2θ 33.51, I = 22, hkl 1 2 0
- 2θ 46.79, I = 15, hkl 3 1 0
- 2θ 52.21, I = 12, hkl 0 3 4

[2]
HoH2CO4: computed XRD peak list (a wavelength of 1.5418 Å), based on a structure optimized by DFT (PBE).
Lines closer than 0.1° are merged.

Atomic structure:
Cell lengths 7.478, 6.889, 6.107 Å; angles 90.00, 99.61, 90.00 degrees
Space group P2_1/c (No. 14)
Symmetry-distinct sites (fractional):
Ho 0.109 0.116 0.267 [4 per cell]
H 0.195 0.731 0.042 [4 per cell]
H 0.257 0.019 0.887 [4 per cell]
C 0.491 0.069 0.598 [4 per cell]
O 0.084 0.668 0.971 [4 per cell]
O 0.136 0.064 0.900 [4 per cell]
O 0.341 0.157 0.588 [4 per cell]
O 0.374 0.582 0.747 [4 per cell]

Top 10 peaks for 10° ≤ 2θ ≤ 90°, by angle:
- 2θ 12.00, I = 100, hkl 1 0 0
- 2θ 17.62, I = 31, hkl 1 1 0
- 2θ 21.68, I = 24, hkl 1 1 -1
- 2θ 27.44, I = 19, hkl 2 1 0
- 2θ 29.67, I = 17, hkl 0 0 2
- 2θ 29.88, I = 25, hkl 0 2 1
- 2θ 31.34, I = 32, hkl 1 2 -1
- 2θ 33.23, I = 39, hkl 1 2 1
- 2θ 37.62, I = 15, hkl 2 1 -2
- 2θ 52.81, I = 15, hkl 0 2 3

[3]
HoPH5CO7: computed XRD peak list (a wavelength of 1.5418 Å), based on a structure optimized by DFT (PBE).
Lines closer than 0.1° are merged.

Atomic structure:
Cell lengths 6.340, 6.746, 7.381 Å; angles 110.43, 94.11, 91.74 degrees
Space group P-1 (No. 2)
Symmetry-distinct sites (fractional):
Ho 0.124 0.225 0.438 [2 per cell]
P 0.338 0.754 0.486 [2 per cell]
H 0.167 0.527 0.824 [2 per cell]
H 0.288 0.327 0.859 [2 per cell]
H 0.408 0.725 0.303 [2 per cell]
H 0.462 0.243 0.120 [2 per cell]
H 0.472 0.876 0.090 [2 per cell]
C 0.058 0.904 0.004 [2 per cell]
O 0.050 0.748 0.845 [2 per cell]
O 0.152 0.914 0.163 [2 per cell]
O 0.178 0.569 0.462 [2 per cell]
O 0.206 0.953 0.550 [2 per cell]
O 0.221 0.384 0.761 [2 per cell]
O 0.413 0.199 0.981 [2 per cell]
O 0.468 0.229 0.373 [2 per cell]

Top 10 peaks for 10° ≤ 2θ ≤ 90°, by angle:
- 2θ 12.85, I = 100, hkl 0 0 1
- 2θ 14.03, I = 42, hkl 1 0 0
- 2θ 19.29, I = 14, hkl 1 -1 0
- 2θ 19.89, I = 16, hkl 1 0 1
- 2θ 20.64, I = 18, hkl 1 1 -1
- 2θ 25.86, I = 19, hkl 0 0 2
- 2θ 26.61, I = 19, hkl 0 2 -1
- 2θ 28.28, I = 20, hkl 0 2 0
- 2θ 30.94, I = 27, hkl 0 2 -2
- 2θ 32.05, I = 26, hkl 2 1 -1

[4]
H10PtC14I2N2: computed XRD peak list (a wavelength of 1.5418 Å), based on a structure optimized by DFT (PBE).
Lines closer than 0.1° are merged.

Atomic structure:
Cell lengths 11.173, 20.357, 7.245 Å; angles 90.00, 99.16, 90.00 degrees
Space group C2/c (No. 15)
Symmetry-distinct sites (fractional):
H 0.000 0.012 0.250 [4 per cell]
H 0.000 0.188 0.250 [4 per cell]
H 0.138 0.171 0.571 [8 per cell]
H 0.139 0.049 0.575 [8 per cell]
H 0.186 0.371 0.204 [8 per cell]
H 0.187 0.248 0.209 [8 per cell]
Pt 0.000 0.400 0.750 [4 per cell]
C 0.000 0.042 0.750 [4 per cell]
C 0.000 0.178 0.750 [4 per cell]
C 0.000 0.242 0.250 [4 per cell]
C 0.000 0.248 0.750 [4 per cell]
C 0.000 0.378 0.250 [4 per cell]
C 0.000 0.448 0.250 [4 per cell]
C 0.078 0.076 0.651 [8 per cell]
C 0.078 0.144 0.649 [8 per cell]
C 0.105 0.276 0.228 [8 per cell]
C 0.106 0.344 0.226 [8 per cell]
I 0.239 0.401 0.778 [8 per cell]
N 0.000 0.305 0.750 [4 per cell]
N 0.000 0.495 0.750 [4 per cell]

Top 10 peaks for 10° ≤ 2θ ≤ 90°, by angle:
- 2θ 14.32, I = 23, hkl 1 1 -1
- 2θ 15.14, I = 100, hkl 0 2 1
- 2θ 17.43, I = 44, hkl 0 4 0
- 2θ 18.92, I = 38, hkl 1 3 -1
- 2θ 21.43, I = 31, hkl 0 4 1
- 2θ 24.90, I = 57, hkl 0 0 2
- 2θ 25.31, I = 24, hkl 1 1 -2
- 2θ 34.09, I = 27, hkl 4 2 -1
- 2θ 37.50, I = 27, hkl 0 8 1
- 2θ 37.85, I = 27, hkl 4 2 1

Copy entry 4 word for word.
H10PtC14I2N2: computed XRD peak list (a wavelength of 1.5418 Å), based on a structure optimized by DFT (PBE).
Lines closer than 0.1° are merged.

Atomic structure:
Cell lengths 11.173, 20.357, 7.245 Å; angles 90.00, 99.16, 90.00 degrees
Space group C2/c (No. 15)
Symmetry-distinct sites (fractional):
H 0.000 0.012 0.250 [4 per cell]
H 0.000 0.188 0.250 [4 per cell]
H 0.138 0.171 0.571 [8 per cell]
H 0.139 0.049 0.575 [8 per cell]
H 0.186 0.371 0.204 [8 per cell]
H 0.187 0.248 0.209 [8 per cell]
Pt 0.000 0.400 0.750 [4 per cell]
C 0.000 0.042 0.750 [4 per cell]
C 0.000 0.178 0.750 [4 per cell]
C 0.000 0.242 0.250 [4 per cell]
C 0.000 0.248 0.750 [4 per cell]
C 0.000 0.378 0.250 [4 per cell]
C 0.000 0.448 0.250 [4 per cell]
C 0.078 0.076 0.651 [8 per cell]
C 0.078 0.144 0.649 [8 per cell]
C 0.105 0.276 0.228 [8 per cell]
C 0.106 0.344 0.226 [8 per cell]
I 0.239 0.401 0.778 [8 per cell]
N 0.000 0.305 0.750 [4 per cell]
N 0.000 0.495 0.750 [4 per cell]

Top 10 peaks for 10° ≤ 2θ ≤ 90°, by angle:
- 2θ 14.32, I = 23, hkl 1 1 -1
- 2θ 15.14, I = 100, hkl 0 2 1
- 2θ 17.43, I = 44, hkl 0 4 0
- 2θ 18.92, I = 38, hkl 1 3 -1
- 2θ 21.43, I = 31, hkl 0 4 1
- 2θ 24.90, I = 57, hkl 0 0 2
- 2θ 25.31, I = 24, hkl 1 1 -2
- 2θ 34.09, I = 27, hkl 4 2 -1
- 2θ 37.50, I = 27, hkl 0 8 1
- 2θ 37.85, I = 27, hkl 4 2 1